[1]
# NbTcW
Theoretical powder XRD pattern, CuKα. Input: a structure optimized by DFT (GGA-PBE).
Neutral-atom scattering factors, no anomalous dispersion.

Structure:
Cell lengths 3.186, 4.499, 13.586 Å; angles 90.00, 90.00, 90.00 degrees
Space group Amm2 (No. 38)
Unique sites:
Nb 0.000 0.000 0.000 [2 per cell]
Nb 0.500 0.000 0.171 [2 per cell]
Tc 0.500 0.000 0.500 [2 per cell]
Tc 0.500 0.000 0.836 [2 per cell]
W 0.000 0.000 0.337 [2 per cell]
W 0.000 0.000 0.669 [2 per cell]

Main lines, low angle first (10 to 90 degrees two-theta):
2θ/deg, d (Å), I_rel
13.03, 6.793, 4
27.97, 3.190, 7
39.81, 2.264, 20
40.01, 2.254, 100
57.77, 1.596, 14
57.89, 1.593, 7
72.39, 1.305, 14
72.56, 1.303, 7
72.76, 1.300, 20
86.29, 1.127, 9

---

[2]
# Ba2Sc2Ge2O
Theoretical powder XRD pattern, CuKα. Input: a structure optimized by DFT (GGA-PBE).
Neutral-atom scattering factors, no anomalous dispersion.

Structure:
Cell lengths 4.473, 4.473, 17.798 Å; angles 90.00, 90.00, 90.00 degrees
Space group I4/mmm (No. 139)
Unique sites:
Ba 0.000 0.000 0.167 [4 per cell]
Sc 0.000 0.500 0.000 [4 per cell]
Ge 0.000 0.000 0.393 [4 per cell]
O 0.000 0.000 0.000 [2 per cell]

Main lines, low angle first (10 to 90 degrees two-theta):
2θ/deg, d (Å), I_rel
24.93, 3.572, 68
28.21, 3.163, 90
29.98, 2.980, 40
32.14, 2.785, 100
34.80, 2.578, 100
40.32, 2.237, 79
50.46, 1.809, 47
52.47, 1.744, 48
58.35, 1.582, 26
66.48, 1.406, 42

---

[3]
# Li2TcMoN4
Theoretical powder XRD pattern, CuKα. Input: a structure optimized by DFT (GGA-PBE).
Neutral-atom scattering factors, no anomalous dispersion.

Structure:
Cell lengths 6.632, 5.783, 5.159 Å; angles 90.00, 90.00, 90.00 degrees
Space group Pmn2_1 (No. 31)
Unique sites:
Li 0.247 0.154 0.000 [4 per cell]
Tc 0.000 0.657 0.005 [2 per cell]
Mo 0.000 0.353 0.494 [2 per cell]
N 0.000 0.353 0.864 [2 per cell]
N 0.000 0.667 0.375 [2 per cell]
N 0.249 0.798 0.917 [4 per cell]

Main lines, low angle first (10 to 90 degrees two-theta):
2θ/deg, d (Å), I_rel
15.32, 5.783, 69
23.10, 3.850, 100
26.89, 3.316, 47
31.09, 2.877, 38
34.78, 2.580, 34
35.59, 2.522, 35
35.74, 2.513, 45
45.16, 2.008, 38
55.11, 1.666, 21
62.93, 1.477, 26

---

[4]
# Cu2Sb2Se
Theoretical powder XRD pattern, CuKα. Input: a structure optimized by DFT (GGA-PBE).
Neutral-atom scattering factors, no anomalous dispersion.

Structure:
Cell lengths 7.903, 7.903, 3.309 Å; angles 90.00, 90.00, 90.00 degrees
Space group P4/mbm (No. 127)
Unique sites:
Cu 0.109 0.391 0.000 [4 per cell]
Sb 0.191 0.691 0.500 [4 per cell]
Se 0.000 0.000 0.500 [2 per cell]

Main lines, low angle first (10 to 90 degrees two-theta):
2θ/deg, d (Å), I_rel
26.94, 3.309, 17
31.42, 2.847, 24
32.03, 2.794, 32
35.93, 2.499, 42
37.22, 2.416, 100
41.18, 2.192, 25
42.34, 2.135, 26
47.43, 1.917, 29
55.39, 1.659, 20
75.85, 1.254, 26

---

[5]
# PmEr2Ru2
Theoretical powder XRD pattern, CuKα. Input: a structure optimized by DFT (GGA-PBE).
Neutral-atom scattering factors, no anomalous dispersion.

Structure:
Cell lengths 5.240, 4.384, 11.067 Å; angles 90.00, 98.72, 90.00 degrees
Space group P2_1/m (No. 11)
Unique sites:
Pm 0.033 0.250 0.260 [2 per cell]
Er 0.253 0.250 0.981 [2 per cell]
Er 0.440 0.250 0.622 [2 per cell]
Ru 0.089 0.750 0.486 [2 per cell]
Ru 0.277 0.750 0.140 [2 per cell]

Main lines, low angle first (10 to 90 degrees two-theta):
2θ/deg, d (Å), I_rel
28.65, 3.116, 100
29.91, 2.988, 38
31.92, 2.803, 93
34.56, 2.595, 68
36.86, 2.439, 46
38.24, 2.353, 32
39.53, 2.280, 41
41.18, 2.192, 68
41.70, 2.166, 47
42.39, 2.132, 43

---

[6]
# Sm2Hg5Au
Theoretical powder XRD pattern, CuKα. Input: a structure optimized by DFT (GGA-PBE).
Neutral-atom scattering factors, no anomalous dispersion.

Structure:
Cell lengths 4.8016, 4.8016, 32.3343 Å; angles 90.00, 90.00, 120.00 degrees
Space group R-3m (No. 166, hexagonal axes)
Unique sites:
Sm 0.0000 0.0000 0.0929 [6 per cell]
Hg 0.0000 0.0000 0.2007 [6 per cell]
Hg 0.0000 0.0000 0.3706 [6 per cell]
Hg 0.0000 0.0000 0.5000 [3 per cell]
Au 0.0000 0.0000 0.0000 [3 per cell]

Main lines, low angle first (10 to 90 degrees two-theta):
2θ/deg, d (Å), I_rel
25.47, 3.498, 11
28.89, 3.090, 50
30.85, 2.898, 13
35.16, 2.553, 39
37.46, 2.401, 100
47.99, 1.896, 13
52.31, 1.749, 13
62.41, 1.488, 12
66.10, 1.414, 13
67.59, 1.386, 24

---

[7]
# CaPm2Pd2
Theoretical powder XRD pattern, CuKα. Input: a structure optimized by DFT (GGA-PBE).
Neutral-atom scattering factors, no anomalous dispersion.

Structure:
Cell lengths 8.754, 5.056, 6.084 Å; angles 90.00, 90.13, 90.00 degrees
Space group C2/m (No. 12)
Unique sites:
Ca 0.000 0.000 0.000 [2 per cell]
Pm 0.167 0.500 0.324 [4 per cell]
Pd 0.167 0.500 0.815 [4 per cell]

Main lines, low angle first (10 to 90 degrees two-theta):
2θ/deg, d (Å), I_rel
20.28, 4.378, 61
29.36, 3.042, 14
35.52, 2.528, 100
35.95, 2.498, 100
46.72, 1.944, 24
51.43, 1.777, 35
63.78, 1.459, 18
64.02, 1.454, 24
64.13, 1.452, 12
64.89, 1.437, 19

---

[8]
# Tm7Pt3
Theoretical powder XRD pattern, CuKα. Input: a structure optimized by DFT (GGA-PBE).
Neutral-atom scattering factors, no anomalous dispersion.

Structure:
Cell lengths 9.7422, 9.7422, 6.2154 Å; angles 90.00, 90.00, 120.00 degrees
Space group P6_3mc (No. 186)
Unique sites:
Tm 0.0799 0.5400 0.0000 [6 per cell]
Tm 0.1267 0.2533 0.6912 [6 per cell]
Tm 0.3333 0.6667 0.5020 [2 per cell]
Pt 0.1899 0.3799 0.2648 [6 per cell]

Main lines, low angle first (10 to 90 degrees two-theta):
2θ/deg, d (Å), I_rel
30.66, 2.916, 41
31.53, 2.837, 100
31.82, 2.812, 24
35.02, 2.562, 74
35.89, 2.502, 62
36.91, 2.436, 57
40.53, 2.226, 27
48.98, 1.860, 21
55.05, 1.668, 25
56.51, 1.628, 23

---

[9]
# PrNd7
Theoretical powder XRD pattern, CuKα. Input: a structure optimized by DFT (GGA-PBE).
Neutral-atom scattering factors, no anomalous dispersion.

Structure:
Cell lengths 10.424, 10.424, 10.424 Å; angles 90.00, 90.00, 90.00 degrees
Space group Fm-3m (No. 225)
Unique sites:
Pr 0.000 0.000 0.000 [4 per cell]
Nd 0.000 0.000 0.500 [4 per cell]
Nd 0.000 0.250 0.250 [24 per cell]

Main lines, low angle first (10 to 90 degrees two-theta):
2θ/deg, d (Å), I_rel
29.69, 3.009, 100
34.41, 2.606, 51
49.46, 1.843, 36
58.76, 1.571, 43
61.65, 1.505, 13
72.55, 1.303, 6
80.29, 1.196, 18
82.83, 1.165, 16

---

[10]
# Hf2HAuI
Theoretical powder XRD pattern, CuKα. Input: a structure optimized by DFT (GGA-PBE).
Neutral-atom scattering factors, no anomalous dispersion.

Structure:
Cell lengths 5.254, 5.254, 5.235 Å; angles 90.00, 90.00, 90.00 degrees
Space group P4/mmm (No. 123)
Unique sites:
Hf 0.000 0.500 0.000 [2 per cell]
H 0.000 0.000 0.500 [1 per cell]
Au 0.500 0.500 0.500 [1 per cell]
I 0.500 0.500 0.000 [1 per cell]

Main lines, low angle first (10 to 90 degrees two-theta):
2θ/deg, d (Å), I_rel
16.89, 5.249, 100
29.48, 3.030, 67
34.13, 2.627, 58
34.26, 2.618, 29
38.32, 2.349, 33
49.10, 1.855, 62
52.29, 1.750, 25
58.26, 1.584, 20
61.18, 1.515, 22
82.05, 1.174, 19

---

- What is the formula in the fifth record?
  PmEr2Ru2